Calculated X-ray powder pattern of Ti3Ga for copper Kα, from a crystal structure in Alexandria, relaxed with GGA-PBE.
Intensities are scaled so that the largest is 100.

Largest 6 diffraction maxima, in order of falling intensity, 10° ≤ 2θ ≤ 90°:
38.8°, I = 100
45.1°, I = 47
79.0°, I = 32
65.7°, I = 28
83.3°, I = 9
22.1°, I = 4

Cell and atoms:
```
data_Ti3Ga
_chemical_formula_sum 'Ti3 Ga1'
_space_group_name_H-M_alt 'P m -3 m'
_space_group_IT_number 221
_space_group_name_Hall '-P 4 2 3'
_cell_length_a 4.0186
_cell_length_b 4.0186
_cell_length_c 4.0186
_cell_angle_alpha 90.00
_cell_angle_beta 90.00
_cell_angle_gamma 90.00
loop_
_atom_site_label
_atom_site_type_symbol
_atom_site_fract_x
_atom_site_fract_y
_atom_site_fract_z
_atom_site_occupancy
Ti1 Ti 0.0000 0.0000 0.5000 1
Ga1 Ga 0.5000 0.5000 0.5000 1
```